Structure and simulated powder XRD pattern of Fe2Ni21B6 (a structure optimized by DFT (PBE); Cu Kα (weighted mean of Kα1 and Kα2)).
Intensities are scaled so that the largest is 100.

The 10 most intense peaks (15° ≤ 2θ ≤ 90°), by intensity:
(hkl), 2theta, I (rel.)
3 3 3, 45.05, 100
4 2 2, 42.35, 27
5 3 1, 51.72, 26
4 2 0, 38.50, 21
6 6 0, 77.45, 20
4 4 0, 49.30, 20
6 0 0, 52.51, 13
5 5 5, 79.36, 13
9 1 1, 84.39, 7
6 2 2, 58.56, 6

Atomic structure:
a b c (Å): 10.4566 10.4566 10.4566
angles (deg): 90.00 90.00 90.00
Space group Fm-3m (No. 225)
Inequivalent atoms, fractional coordinates:
Fe (0.2500, 0.2500, 0.2500)
Ni (0.0000, 0.0000, 0.0000)
Ni (0.0000, 0.1693, 0.1693)
Ni (0.1180, 0.1180, 0.3820)
B (0.0000, 0.0000, 0.2719)